[1]
Computed X-ray diffraction stick pattern of NaCd11Hg17 for λ = 1.5418 Å (Cu Kα), from a PBE-relaxed structure.
No peak broadening, texture or thermal motion is included.

Principal peaks in the range 5° ≤ 2θ ≤ 70°, in order of rising 2θ:
2theta  I (rel.)
30.70  92
30.90  83
32.27  91
32.92  100
33.37  80
35.03  84
35.60  90
36.73  75

Structure:
a b c (Å): 10.118 10.118 9.482
angles (deg): 112.41 112.41 104.18
Sites, in units of the cell vectors:
Na: 0.000 0.000 0.000
Cd: 0.006 0.816 0.237
Cd: 0.189 0.578 0.616
Cd: 0.191 0.383 0.786
Cd: 0.360 0.556 0.409
Cd: 0.383 0.191 0.786
Cd: 0.449 0.788 0.001
Cd: 0.556 0.360 0.409
Cd: 0.578 0.189 0.616
Cd: 0.724 0.724 0.564
Cd: 0.788 0.449 0.001
Cd: 0.816 0.006 0.237
Hg: 0.183 0.608 0.103
Hg: 0.205 0.902 0.831
Hg: 0.209 0.209 0.440
Hg: 0.281 0.281 0.063
Hg: 0.310 0.856 0.528
Hg: 0.318 0.986 0.219
Hg: 0.543 0.543 0.767
Hg: 0.574 0.574 0.128
Hg: 0.600 0.900 0.397
Hg: 0.608 0.183 0.103
Hg: 0.632 0.908 0.822
Hg: 0.856 0.310 0.528
Hg: 0.900 0.600 0.397
Hg: 0.902 0.205 0.831
Hg: 0.908 0.632 0.822
Hg: 0.984 0.984 0.576
Hg: 0.986 0.318 0.219



[2]
Computed X-ray diffraction stick pattern of NaCd5Hg3 for λ = 1.5418 Å (Cu Kα), from a PBE-relaxed structure.
No peak broadening, texture or thermal motion is included.

Principal peaks in the range 5° ≤ 2θ ≤ 70°, in order of rising 2θ:
2theta  I (rel.)
19.95  7
24.49  9
28.36  11
34.91  100
45.57  17
50.20  15
58.66  4
62.60  24

Structure:
a b c (Å): 8.903 8.903 6.295
angles (deg): 90.00 90.00 120.00
Sites, in units of the cell vectors:
Na: 0.000 0.000 0.000
Na: 0.000 0.000 0.500
Cd: 0.000 0.352 0.250
Cd: 0.000 0.648 0.750
Cd: 0.333 0.667 0.000
Cd: 0.333 0.667 0.500
Cd: 0.352 0.000 0.250
Cd: 0.352 0.352 0.750
Cd: 0.648 0.000 0.750
Cd: 0.648 0.648 0.250
Cd: 0.667 0.333 0.000
Cd: 0.667 0.333 0.500
Hg: 0.000 0.317 0.750
Hg: 0.000 0.683 0.250
Hg: 0.317 0.000 0.750
Hg: 0.317 0.317 0.250
Hg: 0.683 0.000 0.250
Hg: 0.683 0.683 0.750



[3]
Computed X-ray diffraction stick pattern of Na7Cd2Hg2 for λ = 1.5418 Å (Cu Kα), from a PBE-relaxed structure.
No peak broadening, texture or thermal motion is included.

Principal peaks in the range 5° ≤ 2θ ≤ 70°, in order of rising 2θ:
2theta  I (rel.)
12.06  27
17.80  78
19.36  31
24.27  47
33.19  100
33.36  31
37.48  30
37.72  26

Structure:
a b c (Å): 8.415 8.415 8.415
angles (deg): 142.77 117.01 75.50
Sites, in units of the cell vectors:
Na: 0.000 0.000 0.000
Na: 0.144 0.644 0.500
Na: 0.156 0.857 0.299
Na: 0.441 0.143 0.299
Na: 0.559 0.857 0.701
Na: 0.844 0.143 0.701
Na: 0.856 0.356 0.500
Cd: 0.308 0.308 0.000
Cd: 0.692 0.692 0.000
Hg: 0.297 0.500 0.797
Hg: 0.703 0.500 0.203



[4]
Computed X-ray diffraction stick pattern of Na8CdHg6 for λ = 1.5418 Å (Cu Kα), from a PBE-relaxed structure.
No peak broadening, texture or thermal motion is included.

Principal peaks in the range 5° ≤ 2θ ≤ 70°, in order of rising 2θ:
2theta  I (rel.)
13.82  62
19.94  36
24.34  100
34.49  100
34.89  81
37.69  34
49.87  35
62.31  36

Structure:
a b c (Å): 8.216 8.216 8.216
angles (deg): 65.65 65.65 65.65
Sites, in units of the cell vectors:
Na: 0.050 0.384 0.718
Na: 0.166 0.166 0.166
Na: 0.282 0.950 0.616
Na: 0.384 0.718 0.050
Na: 0.616 0.282 0.950
Na: 0.718 0.050 0.384
Na: 0.834 0.834 0.834
Na: 0.950 0.616 0.282
Cd: 0.500 0.500 0.500
Hg: 0.119 0.778 0.450
Hg: 0.222 0.550 0.881
Hg: 0.450 0.119 0.778
Hg: 0.550 0.881 0.222
Hg: 0.778 0.450 0.119
Hg: 0.881 0.222 0.550



[5]
Computed X-ray diffraction stick pattern of Na8Cd3Hg for λ = 1.5418 Å (Cu Kα), from a PBE-relaxed structure.
No peak broadening, texture or thermal motion is included.

Principal peaks in the range 5° ≤ 2θ ≤ 70°, in order of rising 2θ:
2theta  I (rel.)
20.68  100
24.10  14
33.97  54
34.23  13
34.45  13
39.78  19
40.35  19
40.50  18

Structure:
a b c (Å): 9.186 9.168 7.386
angles (deg): 66.40 66.14 47.46
Sites, in units of the cell vectors:
Na: 0.124 0.627 0.876
Na: 0.125 0.628 0.372
Na: 0.372 0.875 0.125
Na: 0.373 0.876 0.627
Na: 0.627 0.124 0.373
Na: 0.628 0.125 0.875
Na: 0.875 0.372 0.628
Na: 0.876 0.373 0.124
Cd: 0.250 0.250 0.250
Cd: 0.500 0.500 0.500
Cd: 0.750 0.750 0.750
Hg: 0.000 0.000 0.000



[6]
Computed X-ray diffraction stick pattern of Na3CdHg3 for λ = 1.5418 Å (Cu Kα), from a PBE-relaxed structure.
No peak broadening, texture or thermal motion is included.

Principal peaks in the range 5° ≤ 2θ ≤ 70°, in order of rising 2θ:
2theta  I (rel.)
16.15  33
18.82  71
22.58  85
23.22  100
31.89  95
35.70  98
38.16  54
44.37  33

Structure:
a b c (Å): 6.209 6.209 15.971
angles (deg): 90.00 90.00 140.54
Sites, in units of the cell vectors:
Na: 0.039 0.961 0.750
Na: 0.320 0.680 0.598
Na: 0.320 0.680 0.902
Na: 0.680 0.320 0.098
Na: 0.680 0.320 0.402
Na: 0.961 0.039 0.250
Cd: 0.000 0.000 0.000
Cd: 0.000 0.000 0.500
Hg: 0.228 0.772 0.250
Hg: 0.392 0.608 0.104
Hg: 0.392 0.608 0.396
Hg: 0.608 0.392 0.604
Hg: 0.608 0.392 0.896
Hg: 0.772 0.228 0.750



[7]
Computed X-ray diffraction stick pattern of NaCd5Hg7 for λ = 1.5418 Å (Cu Kα), from a PBE-relaxed structure.
No peak broadening, texture or thermal motion is included.

Principal peaks in the range 5° ≤ 2θ ≤ 70°, in order of rising 2θ:
2theta  I (rel.)
28.78  82
33.82  74
34.04  100
35.60  55
37.81  61
38.03  56
38.40  86
39.40  65

Structure:
a b c (Å): 7.971 7.971 6.125
angles (deg): 112.08 112.08 85.23
Sites, in units of the cell vectors:
Na: 0.000 0.000 0.000
Cd: 0.005 0.533 0.524
Cd: 0.041 0.514 0.036
Cd: 0.285 0.285 0.774
Cd: 0.514 0.041 0.036
Cd: 0.533 0.005 0.524
Hg: 0.186 0.864 0.528
Hg: 0.337 0.707 0.007
Hg: 0.341 0.341 0.346
Hg: 0.641 0.641 0.593
Hg: 0.707 0.337 0.007
Hg: 0.764 0.764 0.184
Hg: 0.864 0.186 0.528



[8]
Computed X-ray diffraction stick pattern of Na3CdHg12 for λ = 1.5418 Å (Cu Kα), from a PBE-relaxed structure.
No peak broadening, texture or thermal motion is included.

Principal peaks in the range 5° ≤ 2θ ≤ 70°, in order of rising 2θ:
2theta  I (rel.)
18.88  16
26.83  14
33.01  100
38.30  50
43.03  8
55.28  35
65.91  42
69.25  12

Structure:
a b c (Å): 4.698 4.698 18.821
angles (deg): 90.00 90.00 90.00
Sites, in units of the cell vectors:
Na: 0.000 0.000 0.000
Na: 0.000 0.000 0.252
Na: 0.000 0.000 0.748
Cd: 0.000 0.000 0.500
Hg: 0.000 0.500 0.125
Hg: 0.000 0.500 0.375
Hg: 0.000 0.500 0.625
Hg: 0.000 0.500 0.875
Hg: 0.500 0.000 0.125
Hg: 0.500 0.000 0.375
Hg: 0.500 0.000 0.625
Hg: 0.500 0.000 0.875
Hg: 0.500 0.500 0.000
Hg: 0.500 0.500 0.250
Hg: 0.500 0.500 0.500
Hg: 0.500 0.500 0.750



[9]
Computed X-ray diffraction stick pattern of Na2Cd2Hg7 for λ = 1.5418 Å (Cu Kα), from a PBE-relaxed structure.
No peak broadening, texture or thermal motion is included.

Principal peaks in the range 5° ≤ 2θ ≤ 70°, in order of rising 2θ:
2theta  I (rel.)
30.30  39
30.92  100
35.16  100
35.24  24
35.66  53
38.99  32
40.88  31
52.08  42

Structure:
a b c (Å): 9.542 9.542 9.542
angles (deg): 158.79 73.03 111.07
Sites, in units of the cell vectors:
Na: 0.203 0.000 0.203
Na: 0.797 0.000 0.797
Cd: 0.352 0.852 0.500
Cd: 0.844 0.844 0.000
Hg: 0.065 0.744 0.322
Hg: 0.114 0.114 0.000
Hg: 0.410 0.523 0.887
Hg: 0.422 0.744 0.678
Hg: 0.609 0.260 0.349
Hg: 0.636 0.523 0.113
Hg: 0.912 0.260 0.651



[10]
Computed X-ray diffraction stick pattern of Na7Cd3Hg for λ = 1.5418 Å (Cu Kα), from a PBE-relaxed structure.
No peak broadening, texture or thermal motion is included.

Principal peaks in the range 5° ≤ 2θ ≤ 70°, in order of rising 2θ:
2theta  I (rel.)
5.65  100
9.21  95
14.56  71
22.67  81
31.75  52
33.43  58
34.87  68
35.18  60

Structure:
a b c (Å): 15.741 15.741 12.164
angles (deg): 90.00 90.00 167.79
Sites, in units of the cell vectors:
Na: 0.030 0.970 0.610
Na: 0.030 0.970 0.890
Na: 0.138 0.862 0.250
Na: 0.140 0.860 0.542
Na: 0.140 0.860 0.958
Na: 0.269 0.731 0.614
Na: 0.269 0.731 0.886
Na: 0.731 0.269 0.114
Na: 0.731 0.269 0.386
Na: 0.860 0.140 0.042
Na: 0.860 0.140 0.458
Na: 0.862 0.138 0.750
Na: 0.970 0.030 0.110
Na: 0.970 0.030 0.390
Cd: 0.306 0.694 0.250
Cd: 0.438 0.562 0.624
Cd: 0.438 0.562 0.876
Cd: 0.562 0.438 0.124
Cd: 0.562 0.438 0.376
Cd: 0.694 0.306 0.750
Hg: 0.400 0.600 0.250
Hg: 0.600 0.400 0.750



[11]
Computed X-ray diffraction stick pattern of Na2Cd3Hg4 for λ = 1.5418 Å (Cu Kα), from a PBE-relaxed structure.
No peak broadening, texture or thermal motion is included.

Principal peaks in the range 5° ≤ 2θ ≤ 70°, in order of rising 2θ:
2theta  I (rel.)
17.94  41
22.03  29
32.66  46
34.53  100
34.69  23
38.32  31
41.34  24
45.58  26

Structure:
a b c (Å): 8.650 8.650 9.395
angles (deg): 90.00 90.00 137.74
Sites, in units of the cell vectors:
Na: 0.115 0.885 0.935
Na: 0.385 0.615 0.435
Na: 0.615 0.385 0.565
Na: 0.885 0.115 0.065
Cd: 0.000 0.000 0.500
Cd: 0.029 0.471 0.750
Cd: 0.471 0.029 0.250
Cd: 0.500 0.500 0.000
Cd: 0.529 0.971 0.750
Cd: 0.971 0.529 0.250
Hg: 0.186 0.814 0.529
Hg: 0.217 0.283 0.750
Hg: 0.283 0.217 0.250
Hg: 0.314 0.686 0.029
Hg: 0.686 0.314 0.971
Hg: 0.717 0.783 0.750
Hg: 0.783 0.717 0.250
Hg: 0.814 0.186 0.471



[12]
Computed X-ray diffraction stick pattern of NaCd4Hg5 for λ = 1.5418 Å (Cu Kα), from a PBE-relaxed structure.
No peak broadening, texture or thermal motion is included.

Principal peaks in the range 5° ≤ 2θ ≤ 70°, in order of rising 2θ:
2theta  I (rel.)
5.12  11
23.53  16
33.52  57
35.22  100
48.13  21
53.11  7
61.03  40
64.27  17

Structure:
a b c (Å): 3.781 3.781 17.245
angles (deg): 90.00 90.00 90.00
Sites, in units of the cell vectors:
Na: 0.000 0.000 0.000
Cd: 0.000 0.000 0.205
Cd: 0.000 0.000 0.400
Cd: 0.000 0.000 0.600
Cd: 0.000 0.000 0.795
Hg: 0.500 0.500 0.105
Hg: 0.500 0.500 0.303
Hg: 0.500 0.500 0.500
Hg: 0.500 0.500 0.697
Hg: 0.500 0.500 0.895



> Number 3 is which compound?

Na7Cd2Hg2